No. 1
This entry pairs a crystal structure of Ce2Ho5Tm2 with its calculated powder X-ray diffraction pattern. Radiation: Cu Kα (weighted mean of Kα1 and Kα2). Structure: a crystal structure in Alexandria, relaxed with GGA-PBE.
Kinematic intensities with the Lorentz-polarization factor, no thermal factor.

Structural model:
abc: 8.682 8.682 6.573
angles: 110.98 110.98 37.21
Sites, in units of the cell vectors:
Ce 0.077 0.077 0.488
Ce 0.923 0.923 0.512
Ho 0.000 0.000 0.000
Ho 0.207 0.207 0.056
Ho 0.322 0.322 0.648
Ho 0.678 0.678 0.352
Ho 0.793 0.793 0.944
Tm 0.438 0.438 0.222
Tm 0.562 0.562 0.778

Top 6 peaks for 2θ from 5° to 70°, sorted by position:
- 31.8 deg, intensity 80
- 32.1 deg, intensity 100
- 32.3 deg, intensity 43
- 46.2 deg, intensity 20
- 56.9 deg, intensity 22
- 57.3 deg, intensity 20

---

No. 2
This entry pairs a crystal structure of CeHo2Tm4 with its calculated powder X-ray diffraction pattern. Radiation: Cu Kα (weighted mean of Kα1 and Kα2). Structure: a crystal structure in Alexandria, relaxed with GGA-PBE.
Kinematic intensities with the Lorentz-polarization factor, no thermal factor.

Structural model:
abc: 3.580 22.306 5.549
angles: 90.00 90.00 90.00
Sites, in units of the cell vectors:
Ce 0.000 0.000 0.000
Ce 0.500 0.500 0.000
Ho 0.000 0.430 0.500
Ho 0.000 0.570 0.500
Ho 0.500 0.070 0.500
Ho 0.500 0.930 0.500
Tm 0.000 0.192 0.500
Tm 0.000 0.329 0.000
Tm 0.000 0.671 0.000
Tm 0.000 0.808 0.500
Tm 0.500 0.171 0.000
Tm 0.500 0.308 0.500
Tm 0.500 0.692 0.500
Tm 0.500 0.829 0.000

Top 6 peaks for 2θ from 5° to 70°, sorted by position:
- 28.9 deg, intensity 22
- 32.1 deg, intensity 100
- 32.3 deg, intensity 33
- 36.0 deg, intensity 37
- 46.1 deg, intensity 18
- 61.6 deg, intensity 15

---

No. 3
This entry pairs a crystal structure of CeHo5Tm4 with its calculated powder X-ray diffraction pattern. Radiation: Cu Kα (weighted mean of Kα1 and Kα2). Structure: a crystal structure in Alexandria, relaxed with GGA-PBE.
Kinematic intensities with the Lorentz-polarization factor, no thermal factor.

Structural model:
abc: 7.916 7.916 7.916
angles: 97.61 97.61 137.32
Sites, in units of the cell vectors:
Ce 0.000 0.000 0.000
Ho 0.470 0.470 0.000
Ho 0.580 0.580 0.627
Ho 0.580 0.953 0.000
Ho 0.953 0.580 0.000
Ho 0.953 0.953 0.373
Tm 0.265 0.592 0.328
Tm 0.265 0.937 0.672
Tm 0.592 0.265 0.328
Tm 0.937 0.265 0.672

Top 6 peaks for 2θ from 5° to 70°, sorted by position:
- 30.0 deg, intensity 100
- 31.0 deg, intensity 15
- 36.6 deg, intensity 41
- 48.7 deg, intensity 14
- 54.6 deg, intensity 16
- 61.8 deg, intensity 20

---

No. 4
This entry pairs a crystal structure of CeHo4Tm7 with its calculated powder X-ray diffraction pattern. Radiation: Cu Kα (weighted mean of Kα1 and Kα2). Structure: a crystal structure in Alexandria, relaxed with GGA-PBE.
Kinematic intensities with the Lorentz-polarization factor, no thermal factor.

Structural model:
abc: 9.892 9.892 5.885
angles: 90.25 90.25 40.07
Sites, in units of the cell vectors:
Ce 0.000 0.000 0.000
Ho 0.132 0.595 0.254
Ho 0.405 0.868 0.746
Ho 0.595 0.132 0.254
Ho 0.868 0.405 0.746
Tm 0.000 0.000 0.500
Tm 0.187 0.187 0.252
Tm 0.286 0.286 0.756
Tm 0.460 0.460 0.750
Tm 0.540 0.540 0.250
Tm 0.714 0.714 0.244
Tm 0.813 0.813 0.748

Top 6 peaks for 2θ from 5° to 70°, sorted by position:
- 30.4 deg, intensity 39
- 31.9 deg, intensity 64
- 32.0 deg, intensity 55
- 32.6 deg, intensity 37
- 32.7 deg, intensity 100
- 33.6 deg, intensity 26

---

No. 5
This entry pairs a crystal structure of CeHo2Tm7 with its calculated powder X-ray diffraction pattern. Radiation: Cu Kα (weighted mean of Kα1 and Kα2). Structure: a crystal structure in Alexandria, relaxed with GGA-PBE.
Kinematic intensities with the Lorentz-polarization factor, no thermal factor.

Structural model:
abc: 9.355 9.355 5.305
angles: 90.00 90.00 125.14
Sites, in units of the cell vectors:
Ce 0.000 0.000 0.000
Ho 0.298 0.702 0.500
Ho 0.702 0.298 0.500
Tm 0.066 0.287 0.500
Tm 0.201 0.799 0.000
Tm 0.287 0.066 0.500
Tm 0.500 0.500 0.500
Tm 0.713 0.934 0.500
Tm 0.799 0.201 0.000
Tm 0.934 0.713 0.500

Top 6 peaks for 2θ from 5° to 70°, sorted by position:
- 16.7 deg, intensity 41
- 29.9 deg, intensity 36
- 33.5 deg, intensity 100
- 33.8 deg, intensity 42
- 36.0 deg, intensity 54
- 45.7 deg, intensity 23

---

No. 6
This entry pairs a crystal structure of CeY6Ho2Tm with its calculated powder X-ray diffraction pattern. Radiation: Cu Kα (weighted mean of Kα1 and Kα2). Structure: a crystal structure in Alexandria, relaxed with GGA-PBE.
Kinematic intensities with the Lorentz-polarization factor, no thermal factor.

Structural model:
abc: 8.698 8.698 9.696
angles: 95.07 95.07 116.57
Sites, in units of the cell vectors:
Ce 0.093 0.907 0.750
Ce 0.907 0.093 0.250
Y 0.007 0.801 0.382
Y 0.073 0.519 0.183
Y 0.199 0.993 0.118
Y 0.250 0.617 0.557
Y 0.383 0.750 0.943
Y 0.481 0.927 0.317
Y 0.519 0.073 0.683
Y 0.617 0.250 0.057
Y 0.750 0.383 0.443
Y 0.801 0.007 0.882
Y 0.927 0.481 0.817
Y 0.993 0.199 0.618
Ho 0.215 0.310 0.952
Ho 0.310 0.215 0.452
Ho 0.690 0.785 0.548
Ho 0.785 0.690 0.048
Tm 0.476 0.524 0.250
Tm 0.524 0.476 0.750

Top 6 peaks for 2θ from 5° to 70°, sorted by position:
- 28.9 deg, intensity 36
- 30.2 deg, intensity 38
- 30.6 deg, intensity 42
- 31.7 deg, intensity 37
- 31.9 deg, intensity 100
- 33.6 deg, intensity 34

---

No. 7
This entry pairs a crystal structure of CeY2Ho6Tm3 with its calculated powder X-ray diffraction pattern. Radiation: Cu Kα (weighted mean of Kα1 and Kα2). Structure: a crystal structure in Alexandria, relaxed with GGA-PBE.
Kinematic intensities with the Lorentz-polarization factor, no thermal factor.

Structural model:
abc: 6.106 6.106 11.688
angles: 95.00 95.00 119.97
Sites, in units of the cell vectors:
Ce 0.000 0.000 0.000
Y 0.333 0.667 0.000
Y 0.667 0.333 0.000
Ho 0.084 0.415 0.252
Ho 0.246 0.246 0.748
Ho 0.415 0.084 0.252
Ho 0.585 0.916 0.748
Ho 0.754 0.754 0.252
Ho 0.916 0.585 0.748
Tm 0.167 0.833 0.500
Tm 0.500 0.500 0.500
Tm 0.833 0.167 0.500

Top 6 peaks for 2θ from 5° to 70°, sorted by position:
- 7.7 deg, intensity 6
- 31.1 deg, intensity 100
- 36.0 deg, intensity 51
- 51.9 deg, intensity 36
- 61.7 deg, intensity 42
- 64.8 deg, intensity 12

---

No. 8
This entry pairs a crystal structure of Ce2Y3Ho8 with its calculated powder X-ray diffraction pattern. Radiation: Cu Kα (weighted mean of Kα1 and Kα2). Structure: a crystal structure in Alexandria, relaxed with GGA-PBE.
Kinematic intensities with the Lorentz-polarization factor, no thermal factor.

Structural model:
abc: 8.943 8.943 12.104
angles: 111.99 111.99 82.94
Sites, in units of the cell vectors:
Ce 0.122 0.801 0.952
Ce 0.199 0.878 0.548
Ce 0.801 0.122 0.452
Ce 0.878 0.199 0.048
Y 0.045 0.955 0.250
Y 0.373 0.627 0.750
Y 0.500 0.500 0.000
Y 0.500 0.500 0.500
Y 0.627 0.373 0.250
Y 0.955 0.045 0.750
Ho 0.061 0.372 0.391
Ho 0.148 0.405 0.959
Ho 0.176 0.279 0.667
Ho 0.202 0.578 0.271
Ho 0.279 0.176 0.167
Ho 0.372 0.061 0.891
Ho 0.405 0.148 0.459
Ho 0.422 0.798 0.229
Ho 0.578 0.202 0.771
Ho 0.595 0.852 0.541
Ho 0.628 0.939 0.109
Ho 0.721 0.824 0.833
Ho 0.798 0.422 0.729
Ho 0.824 0.721 0.333
Ho 0.852 0.595 0.041
Ho 0.939 0.628 0.609

Top 6 peaks for 2θ from 5° to 70°, sorted by position:
- 30.7 deg, intensity 66
- 30.8 deg, intensity 23
- 31.1 deg, intensity 92
- 31.4 deg, intensity 100
- 31.6 deg, intensity 86
- 38.0 deg, intensity 39

---

Which formula does entry 7 have?
CeY2Ho6Tm3